Structure and simulated XRD peak list of NaScW2O8 (a GGA+U-relaxed structure; Cu Kα (weighted mean of Kα1 and Kα2)).
Intensities are scaled so that the largest is 100.

Peak list (10 most intense, 5 to 70 degrees two-theta, by angle)
2θ 15.08, d = 5.877 Å, I 30, hkl 0 1 0
2θ 17.41, d = 5.095 Å, I 100, hkl 2 0 0
2θ 22.96, d = 3.874 Å, I 81, hkl 0 1 1
2θ 23.10, d = 3.850 Å, I 52, hkl 2 1 0
2θ 28.68, d = 3.112 Å, I 88, hkl 2 1 -1
2θ 29.22, d = 3.056 Å, I 84, hkl 2 1 1
2θ 34.83, d = 2.576 Å, I 28, hkl 0 0 2
2θ 35.20, d = 2.550 Å, I 58, hkl 4 0 0
2θ 39.68, d = 2.271 Å, I 34, hkl 2 2 1
2θ 50.99, d = 1.791 Å, I 37, hkl 4 0 2

Crystal structure
Lattice parameters (Å, degrees): 10.1935 5.8770 5.1529 90.00 91.44 90.00
Space group P2/c (No. 13)
Unique sites:
Na (0.0000, 0.1705, 0.2500) x2
Sc (0.5000, 0.1719, 0.2500) x2
W (0.2612, 0.3289, 0.7475) x4
O (0.1452, 0.1314, 0.6203) x4
O (0.1711, 0.4025, 0.0604) x4
O (0.3714, 0.3830, 0.4383) x4
O (0.3893, 0.1285, 0.9001) x4